(1)
Structure and simulated X-ray powder pattern of Li5Cu3Ni2O10 (DFT lattice parameters and positions (PBE+U); Cu Kα X-rays).
Kinematic intensities with the Lorentz-polarization factor, no thermal factor.

Most intense lines, 2θ = 5–70°, sorted by position:
12.80°, rel. 74.0; 18.59°, rel. 100.0; 19.26°, rel. 37.4; 22.00°, rel. 31.8; 36.09°, rel. 24.6; 37.06°, rel. 24.5; 37.69°, rel. 24.9; 40.62°, rel. 72.1; 45.15°, rel. 61.2; 45.76°, rel. 57.9

Lattice parameters (Å, degrees): 4.999 5.271 7.539 105.03 103.25 103.99
Atoms (fractional coordinates):
Li 0.000 0.000 0.000
Li 0.100 0.222 0.715
Li 0.295 0.596 0.100
Li 0.705 0.404 0.900
Li 0.900 0.778 0.285
Cu 0.197 0.383 0.396
Cu 0.500 0.000 0.500
Cu 0.803 0.617 0.604
Ni 0.398 0.827 0.808
Ni 0.602 0.173 0.192
O 0.054 0.620 0.836
O 0.156 0.835 0.578
O 0.288 0.971 0.252
O 0.370 0.171 0.958
O 0.441 0.478 0.662
O 0.559 0.522 0.338
O 0.630 0.829 0.042
O 0.712 0.029 0.748
O 0.844 0.165 0.422
O 0.946 0.380 0.164

***

(2)
Structure and simulated X-ray powder pattern of Li5Cu2Ni3O10 (DFT lattice parameters and positions (PBE+U); Cu Kα X-rays).
Kinematic intensities with the Lorentz-polarization factor, no thermal factor.

Most intense lines, 2θ = 5–70°, sorted by position:
15.85°, rel. 76.0; 19.09°, rel. 23.3; 19.20°, rel. 99.5; 27.73°, rel. 23.8; 34.04°, rel. 40.0; 34.63°, rel. 25.8; 36.77°, rel. 27.9; 38.96°, rel. 21.0; 41.84°, rel. 100.0; 43.71°, rel. 41.6

Lattice parameters (Å, degrees): 5.491 6.011 6.405 97.69 98.45 108.52
Atoms (fractional coordinates):
Li 0.000 0.000 0.000
Li 0.257 0.893 0.432
Li 0.354 0.316 0.806
Li 0.646 0.684 0.194
Li 0.743 0.107 0.568
Cu 0.465 0.773 0.781
Cu 0.535 0.227 0.219
Ni 0.000 0.500 0.000
Ni 0.196 0.424 0.410
Ni 0.804 0.576 0.590
O 0.037 0.386 0.686
O 0.187 0.911 0.779
O 0.255 0.834 0.987
O 0.297 0.370 0.114
O 0.452 0.240 0.492
O 0.548 0.760 0.508
O 0.703 0.630 0.886
O 0.745 0.166 0.013
O 0.813 0.089 0.221
O 0.963 0.614 0.314

***

(3)
Structure and simulated X-ray powder pattern of Li4CuNi3P4O16 (DFT lattice parameters and positions (PBE+U); Cu Kα X-rays).
Kinematic intensities with the Lorentz-polarization factor, no thermal factor.

Most intense lines, 2θ = 5–70°, sorted by position:
17.56°, rel. 66.6; 20.62°, rel. 48.3; 20.84°, rel. 33.7; 25.47°, rel. 71.3; 25.65°, rel. 85.4; 29.86°, rel. 100.0; 35.82°, rel. 76.2; 36.21°, rel. 78.8; 52.71°, rel. 35.6; 62.02°, rel. 27.3

Lattice parameters (Å, degrees): 4.733 5.985 10.099 90.00 90.78 90.00
Atoms (fractional coordinates):
Li 0.000 0.248 0.000
Li 0.000 0.752 0.000
Li 0.489 0.249 0.496
Li 0.489 0.751 0.496
Cu 0.542 0.500 0.216
Ni 0.010 0.000 0.278
Ni 0.477 0.000 0.774
Ni 0.977 0.500 0.723
P 0.075 0.500 0.403
P 0.420 0.500 0.905
P 0.575 0.000 0.093
P 0.908 0.000 0.594
O 0.188 0.500 0.548
O 0.208 0.291 0.336
O 0.208 0.709 0.336
O 0.233 0.000 0.599
O 0.252 0.000 0.097
O 0.275 0.294 0.835
O 0.275 0.706 0.835
O 0.309 0.500 0.050
O 0.694 0.000 0.950
O 0.720 0.203 0.166
O 0.720 0.797 0.166
O 0.744 0.500 0.900
O 0.746 0.500 0.395
O 0.770 0.206 0.666
O 0.770 0.794 0.666
O 0.786 0.000 0.451

***

(4)
Structure and simulated X-ray powder pattern of Li4Cu3NiP4O16 (DFT lattice parameters and positions (PBE+U); Cu Kα X-rays).
Kinematic intensities with the Lorentz-polarization factor, no thermal factor.

Most intense lines, 2θ = 5–70°, sorted by position:
17.71°, rel. 62.0; 20.61°, rel. 49.9; 20.81°, rel. 35.3; 25.34°, rel. 65.7; 25.50°, rel. 71.4; 29.39°, rel. 100.0; 35.88°, rel. 63.3; 36.21°, rel. 92.4; 38.90°, rel. 41.9; 52.36°, rel. 29.1

Lattice parameters (Å, degrees): 4.746 6.079 10.018 90.00 90.69 90.00
Atoms (fractional coordinates):
Li 0.000 0.248 0.000
Li 0.000 0.752 0.000
Li 0.489 0.249 0.502
Li 0.489 0.751 0.502
Cu 0.032 0.000 0.717
Cu 0.537 0.500 0.785
Cu 0.938 0.500 0.283
Ni 0.476 0.000 0.220
P 0.067 0.500 0.595
P 0.416 0.500 0.096
P 0.578 0.000 0.902
P 0.915 0.000 0.405
O 0.174 0.500 0.448
O 0.209 0.296 0.663
O 0.209 0.704 0.663
O 0.238 0.000 0.400
O 0.253 0.000 0.897
O 0.282 0.293 0.161
O 0.282 0.707 0.161
O 0.305 0.500 0.947
O 0.699 0.000 0.047
O 0.714 0.203 0.831
O 0.714 0.797 0.831
O 0.742 0.500 0.601
O 0.743 0.500 0.102
O 0.770 0.201 0.333
O 0.770 0.799 0.333
O 0.799 0.000 0.550